(1)
The following is a calculated powder X-ray diffraction pattern of Ga2Fe2S5. It was derived from a crystal structure in the Materials Project, relaxed with GGA-PBE, using CuKα.
Neutral-atom scattering factors, no anomalous dispersion.

Structural model:
```
Ga2Fe2S5
1.0
3.610 0.000 0.000
-1.805 3.126 0.000
0.000 0.000 29.949
Ga Fe S
4 4 10
Direct
0.333 0.667 0.087
0.333 0.667 0.413
0.667 0.333 0.587
0.667 0.333 0.913
0.000 0.000 0.203
0.000 0.000 0.297
0.000 0.000 0.703
0.000 0.000 0.797
0.333 0.667 0.161
0.333 0.667 0.339
0.333 0.667 0.551
0.333 0.667 0.750
0.333 0.667 0.949
0.667 0.333 0.051
0.667 0.333 0.250
0.667 0.333 0.449
0.667 0.333 0.661
0.667 0.333 0.839
```

Main lines, low angle first (2θ from 15° to 90°):
4.991 Å, intensity 37.3; 3.744 Å, intensity 49.3; 3.060 Å, intensity 89.0; 2.983 Å, intensity 66.0; 2.771 Å, intensity 32.7; 2.278 Å, intensity 52.6; 2.163 Å, intensity 39.2; 1.950 Å, intensity 57.6; 1.805 Å, intensity 100.0; 1.683 Å, intensity 47.3

---

(2)
The following is a calculated powder X-ray diffraction pattern of Ga2Fe2S5. It was derived from a crystal structure in the Materials Project, relaxed with GGA-PBE, using CuKα.
Neutral-atom scattering factors, no anomalous dispersion.

Structural model:
```
Ga2Fe2S5
1.0
3.628 0.000 0.000
-1.814 3.142 0.000
0.000 0.000 15.084
Ga Fe S
2 2 5
Direct
0.333 0.667 0.325
0.667 0.333 0.675
0.333 0.667 0.909
0.667 0.333 0.091
0.000 0.000 0.000
0.333 0.667 0.177
0.333 0.667 0.605
0.667 0.333 0.395
0.667 0.333 0.823
```

Main lines, low angle first (2θ from 15° to 90°):
5.028 Å, intensity 36.0; 3.771 Å, intensity 33.7; 3.142 Å, intensity 63.1; 3.076 Å, intensity 27.1; 2.900 Å, intensity 47.0; 2.664 Å, intensity 100.0; 2.414 Å, intensity 37.6; 2.176 Å, intensity 46.1; 1.814 Å, intensity 79.0; 1.777 Å, intensity 84.8

---

(3)
The following is a calculated powder X-ray diffraction pattern of Tb3GaFeS7. It was derived from a crystal structure in the Materials Project, relaxed with GGA-PBE, using CuKα.
Neutral-atom scattering factors, no anomalous dispersion.

Structural model:
```
Tb3GaFeS7
1.0
9.670 0.000 0.000
-4.835 8.374 0.000
0.000 0.000 6.140
Tb Ga Fe S
6 2 2 14
Direct
0.153 0.775 0.000
0.225 0.378 0.000
0.378 0.153 0.500
0.622 0.847 0.000
0.775 0.622 0.500
0.847 0.225 0.500
0.333 0.667 0.573
0.667 0.333 0.073
0.000 0.000 0.181
0.000 0.000 0.681
0.089 0.519 0.732
0.101 0.863 0.416
0.137 0.238 0.416
0.238 0.101 0.916
0.333 0.667 0.204
0.430 0.911 0.732
0.481 0.570 0.732
0.519 0.430 0.232
0.570 0.089 0.232
0.667 0.333 0.704
0.762 0.899 0.416
0.863 0.762 0.916
0.899 0.137 0.916
0.911 0.481 0.232
```

Main lines, low angle first (2θ from 15° to 90°):
4.952 Å, intensity 25.7; 3.459 Å, intensity 100.0; 3.165 Å, intensity 24.6; 2.541 Å, intensity 31.8; 2.476 Å, intensity 35.7; 2.417 Å, intensity 36.9; 2.204 Å, intensity 24.7; 2.172 Å, intensity 18.2; 1.839 Å, intensity 22.9; 1.751 Å, intensity 19.6

---

(4)
The following is a calculated powder X-ray diffraction pattern of Sc3Ga16Fe20. It was derived from a crystal structure in the Materials Project, relaxed with GGA-PBE, using CuKα.
Neutral-atom scattering factors, no anomalous dispersion.

Structural model:
```
Sc3Ga16Fe20
1.0
5.999 -2.507 0.000
5.999 2.507 0.000
-5.715 0.000 18.068
Sc Ga Fe
3 16 20
Direct
0.000 0.000 0.000
0.333 0.333 0.659
0.665 0.665 0.329
0.109 0.109 0.891
0.111 0.111 0.552
0.228 0.228 0.771
0.232 0.232 0.112
0.285 0.285 0.389
0.384 0.384 0.938
0.444 0.444 0.219
0.452 0.452 0.554
0.561 0.561 0.778
0.563 0.563 0.444
0.619 0.619 0.056
0.774 0.774 0.883
0.785 0.785 0.223
0.895 0.895 0.111
0.898 0.898 0.445
0.950 0.950 0.722
0.002 0.505 0.998
0.007 0.504 0.498
0.015 0.015 0.254
0.088 0.088 0.409
0.168 0.669 0.830
0.174 0.670 0.333
0.246 0.246 0.251
0.337 0.835 0.665
0.339 0.838 0.166
0.422 0.422 0.078
0.504 0.007 0.498
0.505 0.002 0.998
0.584 0.584 0.916
0.669 0.168 0.830
0.670 0.174 0.333
0.682 0.682 0.586
0.753 0.753 0.743
0.835 0.337 0.665
0.838 0.339 0.166
0.912 0.912 0.584
```

Main lines, low angle first (2θ from 15° to 90°):
2.507 Å, intensity 24.3; 2.482 Å, intensity 39.9; 2.164 Å, intensity 36.9; 2.155 Å, intensity 32.7; 2.142 Å, intensity 51.2; 2.134 Å, intensity 41.5; 2.109 Å, intensity 42.9; 1.925 Å, intensity 100.0; 1.895 Å, intensity 28.6; 1.241 Å, intensity 20.0

---

(5)
The following is a calculated powder X-ray diffraction pattern of ScGa5Fe. It was derived from a crystal structure in the Materials Project, relaxed with GGA-PBE, using CuKα.
Neutral-atom scattering factors, no anomalous dispersion.

Structural model:
```
ScGa5Fe
1.0
4.162 0.000 0.000
0.000 4.162 0.000
0.000 0.000 6.702
Sc Ga Fe
1 5 1
Direct
0.000 0.000 0.000
0.000 0.500 0.305
0.000 0.500 0.695
0.500 0.000 0.305
0.500 0.000 0.695
0.500 0.500 0.000
0.000 0.000 0.500
```

Main lines, low angle first (2θ from 15° to 90°):
3.535 Å, intensity 17.1; 2.694 Å, intensity 27.3; 2.234 Å, intensity 15.4; 2.211 Å, intensity 100.0; 2.081 Å, intensity 56.4; 1.779 Å, intensity 11.6; 1.523 Å, intensity 17.7; 1.471 Å, intensity 17.6; 1.225 Å, intensity 27.2; 1.220 Å, intensity 10.4

---

(6)
The following is a calculated powder X-ray diffraction pattern of ScGa6Fe6. It was derived from a crystal structure in the Materials Project, relaxed with GGA-PBE, using CuKα.
Neutral-atom scattering factors, no anomalous dispersion.

Structural model:
```
ScGa6Fe6
1.0
-2.497 4.216 4.299
2.497 -4.216 4.299
2.497 4.216 -4.299
Sc Ga Fe
1 6 6
Direct
0.000 0.000 0.000
0.177 0.677 0.500
0.327 0.000 0.327
0.341 0.341 0.000
0.659 0.659 0.000
0.673 0.000 0.673
0.823 0.323 0.500
0.000 0.000 0.500
0.000 0.500 0.000
0.244 0.500 0.744
0.500 0.000 0.000
0.500 0.500 0.500
0.756 0.500 0.256
```

Main lines, low angle first (2θ from 15° to 90°):
2.497 Å, intensity 25.0; 2.486 Å, intensity 48.3; 2.159 Å, intensity 37.1; 2.149 Å, intensity 52.5; 2.141 Å, intensity 63.3; 2.108 Å, intensity 45.4; 1.922 Å, intensity 100.0; 1.915 Å, intensity 45.5; 1.894 Å, intensity 34.9; 1.224 Å, intensity 37.1

---

(7)
The following is a calculated powder X-ray diffraction pattern of Ga2FeSe4. It was derived from a crystal structure in the Materials Project, relaxed with GGA-PBE, using CuKα.
Neutral-atom scattering factors, no anomalous dispersion.

Structural model:
```
Ga2FeSe4
1.0
5.517 0.000 0.000
0.000 5.517 0.000
0.000 0.000 5.745
Ga Fe Se
2 1 4
Direct
0.000 0.500 0.000
0.500 0.000 0.000
0.000 0.000 0.500
0.259 0.259 0.737
0.259 0.741 0.263
0.741 0.259 0.263
0.741 0.741 0.737
```

Main lines, low angle first (2θ from 15° to 90°):
3.227 Å, intensity 100.0; 1.990 Å, intensity 46.8; 1.950 Å, intensity 22.1; 1.719 Å, intensity 14.9; 1.669 Å, intensity 27.5; 1.379 Å, intensity 6.8; 1.290 Å, intensity 11.1; 1.268 Å, intensity 5.3; 1.156 Å, intensity 7.4; 1.133 Å, intensity 14.3

---

(8)
The following is a calculated powder X-ray diffraction pattern of SmGa6Fe6. It was derived from a crystal structure in the Materials Project, relaxed with GGA-PBE, using CuKα.
Neutral-atom scattering factors, no anomalous dispersion.

Structural model:
```
SmGa6Fe6
1.0
-2.523 4.301 4.350
2.523 -4.301 4.350
2.523 4.301 -4.350
Sm Ga Fe
1 6 6
Direct
0.000 0.000 0.000
0.188 0.688 0.500
0.332 0.000 0.332
0.345 0.345 0.000
0.655 0.655 0.000
0.668 0.000 0.668
0.812 0.312 0.500
0.000 0.000 0.500
0.000 0.500 0.000
0.243 0.500 0.743
0.500 0.000 0.000
0.500 0.500 0.500
0.757 0.500 0.257
```

Main lines, low angle first (2θ from 15° to 90°):
2.523 Å, intensity 39.3; 2.514 Å, intensity 72.7; 2.493 Å, intensity 33.1; 2.182 Å, intensity 55.4; 2.176 Å, intensity 87.7; 2.170 Å, intensity 100.0; 2.163 Å, intensity 59.4; 2.150 Å, intensity 57.8; 1.946 Å, intensity 60.6; 1.246 Å, intensity 51.5